Entry 1:
Starting from DFT lattice parameters and positions (GGA-PBE), the X-ray powder pattern of RbTlCdBr6 was computed for Cu Kα.
Peak positions follow from Bragg's law for the DFT cell and can differ from measured ones.

The 6 most intense peaks (10 to 90 degrees two-theta), by angle:
2theta  intensity
11.54  61
18.24  84
27.16  83
34.00  100
43.11  40
43.29  30

Atomic structure:
```
data_RbTlCdBr6
_cell_length_a 7.2684
_cell_length_b 7.2684
_cell_length_c 7.6654
_cell_angle_alpha 90.00
_cell_angle_beta 90.00
_cell_angle_gamma 120.00
_space_group_name_H-M_alt 'P 3 1 2'
_space_group_IT_number 149
loop_
_space_group_symop_operation_xyz
'x,y,z'
'-y,x-y,z'
'-x+y,-x,z'
'-y,-x,-z'
'-x+y,y,-z'
'x,x-y,-z'
loop_
_atom_site_label
_atom_site_fract_x
_atom_site_fract_y
_atom_site_fract_z
Rb1 0.0000 0.0000 0.0000
Tl1 0.6667 0.3333 0.5000
Cd1 0.3333 0.6667 0.5000
Br1 0.3754 0.0007 0.7135
```

=====

Entry 2:
Starting from DFT lattice parameters and positions (GGA-PBE), the X-ray powder pattern of Pa2Bi5 was computed for Cu Kα.
Peak positions follow from Bragg's law for the DFT cell and can differ from measured ones.

The 6 most intense peaks (10 to 90 degrees two-theta), by angle:
2theta  intensity
29.14  47
29.94  100
33.86  73
40.06  63
50.29  43
66.57  26

Atomic structure:
```
data_Pa2Bi5
_cell_length_a 4.503
_cell_length_b 42.910
_cell_length_c 4.501
_cell_angle_alpha 90.00
_cell_angle_beta 90.00
_cell_angle_gamma 90.00
_space_group_name_H-M_alt 'C m c m'
_space_group_IT_number 63
_space_group_name_Hall '-C 2c 2'
loop_
_atom_site_label
_atom_site_fract_x
_atom_site_fract_y
_atom_site_fract_z
Pa1 0.000 0.100 0.250
Pa2 0.000 0.309 0.250
Bi1 0.000 0.040 0.750
Bi2 0.000 0.175 0.250
Bi3 0.000 0.250 0.750
Bi4 0.000 0.384 0.250
Bi5 0.000 0.457 0.750
```

=====

Entry 3:
Starting from DFT lattice parameters and positions (GGA-PBE), the X-ray powder pattern of PmNd2Y2Tm2 was computed for Cu Kα.
Peak positions follow from Bragg's law for the DFT cell and can differ from measured ones.

The 6 most intense peaks (10 to 90 degrees two-theta), by angle:
2theta  intensity
28.43  56
30.48  71
30.72  85
32.32  100
32.81  58
35.20  79

Atomic structure:
```
data_PmNd2Y2Tm2
_cell_length_a 11.764
_cell_length_b 3.527
_cell_length_c 11.857
_cell_angle_alpha 90.00
_cell_angle_beta 108.67
_cell_angle_gamma 90.00
_space_group_name_H-M_alt 'C 1 2/m 1'
_space_group_IT_number 12
loop_
_space_group_symop_operation_xyz
'x,y,z'
'-x,-y,-z'
'-x,y,-z'
'x,-y,z'
'x+1/2,y+1/2,z'
'-x+1/2,-y+1/2,-z'
'-x+1/2,y+1/2,-z'
'x+1/2,-y+1/2,z'
loop_
_atom_site_label
_atom_site_fract_x
_atom_site_fract_y
_atom_site_fract_z
Pm1 0.000 0.000 0.000
Nd1 0.172 0.500 0.585
Y1 0.049 0.500 0.271
Tm1 0.227 0.000 0.865
```

=====

Entry 4:
Starting from DFT lattice parameters and positions (GGA-PBE), the X-ray powder pattern of LaCuH8Pt2 was computed for Cu Kα.
Peak positions follow from Bragg's law for the DFT cell and can differ from measured ones.

The 6 most intense peaks (10 to 90 degrees two-theta), by angle:
2theta  intensity
30.63  100
34.85  47
37.44  90
49.12  27
63.36  25
64.20  22

Atomic structure:
```
data_LaCuH8Pt2
_cell_length_a 4.8039
_cell_length_b 4.8039
_cell_length_c 16.3840
_cell_angle_alpha 90.00
_cell_angle_beta 90.00
_cell_angle_gamma 120.00
_space_group_name_H-M_alt 'R -3 m'
_space_group_IT_number 166
_space_group_name_Hall '-R 3 2"'
loop_
_atom_site_label
_atom_site_fract_x
_atom_site_fract_y
_atom_site_fract_z
La1 0.0000 0.0000 0.0000
Cu1 0.0000 0.0000 0.5000
H1 0.0000 0.0000 0.3201
H2 0.0573 0.5287 0.0875
Pt1 0.0000 0.0000 0.2185
```

=====

What did the second record say?
Starting from DFT lattice parameters and positions (GGA-PBE), the X-ray powder pattern of Pa2Bi5 was computed for Cu Kα.
Peak positions follow from Bragg's law for the DFT cell and can differ from measured ones.

The 6 most intense peaks (10 to 90 degrees two-theta), by angle:
2theta  intensity
29.14  47
29.94  100
33.86  73
40.06  63
50.29  43
66.57  26

Atomic structure:
```
data_Pa2Bi5
_cell_length_a 4.503
_cell_length_b 42.910
_cell_length_c 4.501
_cell_angle_alpha 90.00
_cell_angle_beta 90.00
_cell_angle_gamma 90.00
_space_group_name_H-M_alt 'C m c m'
_space_group_IT_number 63
_space_group_name_Hall '-C 2c 2'
loop_
_atom_site_label
_atom_site_fract_x
_atom_site_fract_y
_atom_site_fract_z
Pa1 0.000 0.100 0.250
Pa2 0.000 0.309 0.250
Bi1 0.000 0.040 0.750
Bi2 0.000 0.175 0.250
Bi3 0.000 0.250 0.750
Bi4 0.000 0.384 0.250
Bi5 0.000 0.457 0.750
```